# Sc7Ag2Pt2
Calculated powder diffractogram, a wavelength of 1.5418 Å. Input: a cell relaxed with GGA-PBE.
Neutral-atom scattering factors, no anomalous dispersion.

Top 10 peaks for 2θ from 5° to 70°, sorted by position:
| 2theta | I/Imax |
| --- | --- |
| 13.25 | 20 |
| 22.04 | 100 |
| 26.67 | 17 |
| 27.01 | 79 |
| 35.50 | 35 |
| 39.79 | 33 |
| 40.13 | 82 |
| 44.43 | 18 |
| 45.17 | 23 |
| 46.90 | 24 |

Crystal structure
```
Sc7Ag2Pt2
1.0
3.7961 -5.0570 0.0000
3.7961 5.0570 0.0000
0.0000 0.0000 6.6844
Sc Ag Pt
7 2 2
Direct
0.0000 0.0000 0.0000 Sc
0.0000 0.5000 0.2607 Sc
0.0000 0.5000 0.7393 Sc
0.5000 0.0000 0.2607 Sc
0.5000 0.0000 0.7393 Sc
0.5000 0.5000 0.2542 Sc
0.5000 0.5000 0.7458 Sc
0.1835 0.1835 0.5000 Ag
0.8165 0.8165 0.5000 Ag
0.2839 0.7161 0.0000 Pt
0.7161 0.2839 0.0000 Pt
```

# Y2ZnHg3
Calculated powder diffractogram, a wavelength of 1.5418 Å. Input: a cell relaxed with GGA-PBE.
Neutral-atom scattering factors, no anomalous dispersion.

Top 10 peaks for 2θ from 5° to 70°, sorted by position:
| 2theta | I/Imax |
| --- | --- |
| 21.35 | 12 |
| 25.37 | 30 |
| 33.39 | 100 |
| 37.42 | 99 |
| 45.76 | 37 |
| 51.02 | 31 |
| 52.11 | 13 |
| 64.96 | 29 |
| 65.90 | 38 |
| 67.51 | 17 |

Crystal structure
```
Y2ZnHg3
1.0
0.0000 4.8047 8.3274
3.5101 0.0000 8.3274
3.5101 4.8047 0.0000
Y Zn Hg
4 2 6
Direct
0.2478 0.7522 0.7522 Y
0.2500 0.2500 0.2500 Y
0.7500 0.7500 0.7500 Y
0.7522 0.2478 0.2478 Y
0.3327 0.3327 0.6673 Zn
0.6673 0.6673 0.3327 Zn
0.1717 0.1717 0.8283 Hg
0.1730 0.6543 0.3457 Hg
0.3457 0.8270 0.1730 Hg
0.6543 0.1730 0.8270 Hg
0.8270 0.3457 0.6543 Hg
0.8283 0.8283 0.1717 Hg
```

# Tb2YGa2Ag2
Calculated powder diffractogram, a wavelength of 1.5418 Å. Input: a cell relaxed with GGA-PBE.
Neutral-atom scattering factors, no anomalous dispersion.

Top 10 peaks for 2θ from 5° to 70°, sorted by position:
| 2theta | I/Imax |
| --- | --- |
| 19.75 | 14 |
| 25.95 | 35 |
| 32.30 | 50 |
| 34.84 | 91 |
| 39.12 | 100 |
| 51.60 | 13 |
| 53.37 | 26 |
| 65.90 | 29 |
| 66.61 | 12 |
| 68.13 | 25 |

Crystal structure
```
Tb2YGa2Ag2
1.0
2.3028 1.3295 8.9917
-2.3028 1.3295 8.9917
0.0000 -2.6591 8.9917
Tb Y Ga Ag
2 1 2 2
Direct
0.1257 0.1257 0.1257 Tb
0.8743 0.8743 0.8743 Tb
0.0000 0.0000 0.0000 Y
0.2588 0.2588 0.2588 Ga
0.7412 0.7412 0.7412 Ga
0.3978 0.3978 0.3978 Ag
0.6022 0.6022 0.6022 Ag
```